(1)
Diffraction record for PmPr4Nd2Sm. The powder diffractogram is computed, not measured: it uses a GGA-PBE-relaxed structure and λ = 1.5418 Å (Cu Kα).
Peak positions follow from Bragg's law for the DFT cell and can differ from measured ones.

Principal peaks in the range 2θ = 15–90°, sorted by position:
- 2θ 29.7, I 100
- 2θ 34.3, I 34
- 2θ 34.5, I 17
- 2θ 49.3, I 12
- 2θ 49.5, I 24
- 2θ 58.6, I 29
- 2θ 58.8, I 14
- 2θ 61.6, I 13
- 2θ 80.2, I 9
- 2θ 82.6, I 8

Atomic structure:
Unit cell a=6.3831 b=3.6955 c=12.2414 alpha=90.00 beta=100.32 gamma=90.00
Space group P2/m (No. 10)
Symmetry-distinct sites (fractional):
Pm 0.0000 0.0000 0.0000 (multiplicity 1)
Pr 0.2487 0.0000 0.7493 (multiplicity 2)
Pr 0.2502 0.5000 0.2499 (multiplicity 2)
Nd 0.5000 0.0000 0.5000 (multiplicity 1)
Nd 0.5000 0.5000 0.0000 (multiplicity 1)
Sm 0.0000 0.5000 0.5000 (multiplicity 1)

(2)
Diffraction record for PmPrNdSm2. The powder diffractogram is computed, not measured: it uses a GGA-PBE-relaxed structure and λ = 1.5418 Å (Cu Kα).
Peak positions follow from Bragg's law for the DFT cell and can differ from measured ones.

Principal peaks in the range 2θ = 15–90°, sorted by position:
- 2θ 28.3, I 65
- 2θ 28.5, I 88
- 2θ 28.7, I 99
- 2θ 28.8, I 100
- 2θ 31.3, I 46
- 2θ 31.9, I 93
- 2θ 32.0, I 38
- 2θ 33.1, I 41
- 2θ 33.2, I 42
- 2θ 34.1, I 44

Atomic structure:
Unit cell a=8.3794 b=6.7630 c=6.3033 alpha=90.00 beta=90.31 gamma=90.00
Space group P2/c (No. 13)
Symmetry-distinct sites (fractional):
Pm 0.0000 0.0734 0.2500 (multiplicity 2)
Pr 0.0000 0.5000 0.0000 (multiplicity 2)
Nd 0.5000 0.3370 0.2500 (multiplicity 2)
Sm 0.3056 0.1914 0.7485 (multiplicity 4)

(3)
Diffraction record for Tb2PmPr2Nd2. The powder diffractogram is computed, not measured: it uses a GGA-PBE-relaxed structure and λ = 1.5418 Å (Cu Kα).
Peak positions follow from Bragg's law for the DFT cell and can differ from measured ones.

Principal peaks in the range 2θ = 15–90°, sorted by position:
- 2θ 30.0, I 100
- 2θ 34.7, I 34
- 2θ 34.8, I 17
- 2θ 49.9, I 18
- 2θ 50.0, I 18
- 2θ 59.2, I 7
- 2θ 59.3, I 29
- 2θ 59.4, I 7
- 2θ 62.2, I 6
- 2θ 83.8, I 10

Atomic structure:
Unit cell a=11.5282 b=5.1641 c=8.1881 alpha=90.00 beta=98.08 gamma=90.00
Space group C2/m (No. 12)
Symmetry-distinct sites (fractional):
Tb 0.0716 0.0000 0.2123 (multiplicity 4)
Pm 0.0000 0.5000 0.5000 (multiplicity 2)
Pr 0.2138 0.0000 0.6431 (multiplicity 4)
Nd 0.1419 0.5000 0.9284 (multiplicity 4)

(4)
Diffraction record for Tb2Pm2Pr4Nd. The powder diffractogram is computed, not measured: it uses a GGA-PBE-relaxed structure and λ = 1.5418 Å (Cu Kα).
Peak positions follow from Bragg's law for the DFT cell and can differ from measured ones.

Principal peaks in the range 2θ = 15–90°, sorted by position:
- 2θ 29.9, I 100
- 2θ 34.6, I 34
- 2θ 34.7, I 17
- 2θ 49.8, I 30
- 2θ 49.8, I 6
- 2θ 59.1, I 29
- 2θ 59.3, I 14
- 2θ 62.1, I 12
- 2θ 80.9, I 12
- 2θ 83.4, I 10

Atomic structure:
Unit cell a=15.5474 b=5.1864 c=8.1757 alpha=90.00 beta=108.50 gamma=90.00
Space group C2/m (No. 12)
Symmetry-distinct sites (fractional):
Tb 0.1677 0.0000 0.4993 (multiplicity 4)
Pm 0.1116 0.5000 0.1687 (multiplicity 4)
Pr 0.0547 0.0000 0.8316 (multiplicity 4)
Pr 0.2226 0.5000 0.8306 (multiplicity 4)
Nd 0.0000 0.5000 0.5000 (multiplicity 2)